This entry pairs a crystal structure of PuMnPbO5 with its calculated X-ray diffraction stick pattern. Radiation: Cu Kα (weighted mean of Kα1 and Kα2). Structure: a PBE+U-relaxed structure.

Cell and atoms:
```
PuMnPbO5
1.0
3.688 -4.938 0.000
3.688 4.938 0.000
-3.613 0.000 7.265
Pu Mn Pb O
2 2 2 10
Direct
0.000 0.500 0.000
0.500 0.000 0.500
0.057 0.943 0.750
0.943 0.057 0.250
0.441 0.559 0.750
0.559 0.441 0.250
0.139 0.749 0.907
0.207 0.304 0.904
0.251 0.861 0.593
0.304 0.207 0.404
0.318 0.682 0.250
0.682 0.318 0.750
0.696 0.793 0.596
0.749 0.139 0.407
0.793 0.696 0.096
0.861 0.251 0.093
```

Most intense lines, 2θ from 5° to 70°, low angle first:
16.2 deg, I = 82; 23.7 deg, I = 100; 27.2 deg, I = 71; 30.4 deg, I = 89; 30.6 deg, I = 76; 32.6 deg, I = 50; 34.5 deg, I = 25; 50.2 deg, I = 39; 51.4 deg, I = 28; 56.2 deg, I = 26